(1)
Theoretical X-ray diffraction stick pattern of Tb4Al2O9 for Cu Kα, 1.54184 Å, from DFT lattice parameters and positions (GGA-PBE).
Peak positions follow from Bragg's law for the DFT cell and can differ from measured ones.

Atomic structure:
```
data_Tb4Al2O9
_chemical_formula_sum 'Tb16 Al8 O36'
_space_group_name_H-M_alt 'P 1 21/c 1'
_space_group_IT_number 14
_space_group_name_Hall '-P 2ybc'
_cell_length_a 7.465
_cell_length_b 10.598
_cell_length_c 11.285
_cell_angle_alpha 90.00
_cell_angle_beta 108.55
_cell_angle_gamma 90.00
loop_
_atom_site_label
_atom_site_type_symbol
_atom_site_fract_x
_atom_site_fract_y
_atom_site_fract_z
Tb1 Tb 0.024 0.096 0.305
Tb2 Tb 0.162 0.622 0.583
Tb3 Tb 0.338 0.126 0.936
Tb4 Tb 0.476 0.610 0.216
Al1 Al 0.219 0.180 0.627
Al2 Al 0.346 0.677 0.887
O1 O 0.074 0.233 0.480
O2 O 0.077 0.506 0.393
O3 O 0.210 0.738 0.253
O4 O 0.213 0.018 0.657
O5 O 0.233 0.237 0.267
O6 O 0.307 0.517 0.841
O7 O 0.358 0.729 0.037
O8 O 0.434 0.240 0.614
O9 O 0.435 0.508 0.607
```

Most intense lines, 2θ from 10° to 80°, most intense first:
| 2θ/deg | I/Imax | index |
| --- | --- | --- |
| 29.27 | 100 | 2 2 -1 |
| 30.21 | 72 | 0 2 3 |
| 18.58 | 32 | 0 1 2 |
| 30.33 | 27 | 0 3 2 |
| 11.75 | 25 | 0 1 1 |
| 26.37 | 20 | 0 1 3 |
| 48.80 | 17 | 4 0 -2 |
| 49.49 | 17 | 2 4 -4 |
| 49.14 | 17 | 2 4 2 |
| 34.56 | 16 | 2 0 2 |
| 33.83 | 16 | 0 4 0 |
| 35.03 | 16 | 2 0 -4 |

(2)
Theoretical X-ray diffraction stick pattern of Tb2ReB6 for Cu Kα, 1.54184 Å, from DFT lattice parameters and positions (GGA-PBE).
Peak positions follow from Bragg's law for the DFT cell and can differ from measured ones.

Atomic structure:
```
data_Tb2ReB6
_chemical_formula_sum 'Tb8 Re4 B24'
_space_group_name_H-M_alt 'P b a m'
_space_group_IT_number 55
_space_group_name_Hall '-P 2 2ab'
_cell_length_a 9.215
_cell_length_b 11.605
_cell_length_c 3.696
_cell_angle_alpha 90.00
_cell_angle_beta 90.00
_cell_angle_gamma 90.00
loop_
_atom_site_label
_atom_site_type_symbol
_atom_site_fract_x
_atom_site_fract_y
_atom_site_fract_z
Tb1 Tb 0.056 0.130 0.000
Tb2 Tb 0.175 0.414 0.000
Re1 Re 0.139 0.679 0.000
B1 B 0.016 0.288 0.500
B2 B 0.054 0.567 0.500
B3 B 0.103 0.971 0.500
B4 B 0.133 0.813 0.500
B5 B 0.207 0.233 0.500
B6 B 0.249 0.581 0.500
```

Most intense lines, 2θ from 10° to 80°, most intense first:
| 2θ/deg | I/Imax | index |
| --- | --- | --- |
| 24.08 | 100 | 0 0 1 |
| 38.93 | 77 | 3 1 1 |
| 30.13 | 63 | 3 1 0 |
| 40.73 | 38 | 1 4 1 |
| 32.35 | 30 | 1 4 0 |
| 41.26 | 29 | 3 2 1 |
| 39.49 | 25 | 0 4 1 |
| 33.00 | 22 | 3 2 0 |
| 49.31 | 22 | 0 0 2 |
| 44.96 | 21 | 3 3 1 |
| 30.82 | 20 | 0 4 0 |
| 58.88 | 20 | 3 1 2 |

(3)
Theoretical X-ray diffraction stick pattern of USi2Os2 for Cu Kα, 1.54184 Å, from DFT lattice parameters and positions (GGA-PBE).
Peak positions follow from Bragg's law for the DFT cell and can differ from measured ones.

Atomic structure:
```
data_USi2Os2
_chemical_formula_sum 'U2 Si4 Os4'
_space_group_name_H-M_alt 'I 4/m m m'
_space_group_IT_number 139
_space_group_name_Hall '-I 4 2'
_cell_length_a 4.166
_cell_length_b 4.166
_cell_length_c 9.583
_cell_angle_alpha 90.00
_cell_angle_beta 90.00
_cell_angle_gamma 90.00
loop_
_atom_site_label
_atom_site_type_symbol
_atom_site_fract_x
_atom_site_fract_y
_atom_site_fract_z
U1 U 0.000 0.000 0.000
Si1 Si 0.000 0.000 0.375
Os1 Os 0.000 0.500 0.250
```

Most intense lines, 2θ from 10° to 80°, most intense first:
| 2θ/deg | I/Imax | index |
| --- | --- | --- |
| 35.78 | 100 | 1 1 2 |
| 43.45 | 35 | 2 0 0 |
| 23.28 | 27 | 1 0 1 |
| 74.74 | 25 | 3 1 2 |
| 35.41 | 20 | 1 0 3 |
| 58.74 | 20 | 2 0 4 |
| 37.54 | 18 | 0 0 4 |
| 66.60 | 17 | 1 1 6 |
| 63.13 | 12 | 2 2 0 |
| 57.25 | 10 | 2 1 3 |
| 75.82 | 10 | 2 2 4 |
| 49.87 | 8 | 2 1 1 |

(4)
Theoretical X-ray diffraction stick pattern of DyP2O2 for Cu Kα, 1.54184 Å, from DFT lattice parameters and positions (GGA-PBE).
Peak positions follow from Bragg's law for the DFT cell and can differ from measured ones.

Atomic structure:
```
data_DyP2O2
_chemical_formula_sum 'Dy8 P16 O16'
_space_group_name_H-M_alt 'I 41/a m d'
_space_group_IT_number 141
_cell_length_a 6.940
_cell_length_b 6.940
_cell_length_c 14.819
_cell_angle_alpha 90.00
_cell_angle_beta 90.00
_cell_angle_gamma 90.00
loop_
_space_group_symop_operation_xyz
'x,y,z'
'-x,-y,-z'
'-y+1/4,x+3/4,z+1/4'
'y+1/4,-x+3/4,-z+1/4'
'-x+1/2,-y,z+1/2'
'x+1/2,y,-z+1/2'
'y+1/4,-x+1/4,z+3/4'
'-y+1/4,x+1/4,-z+3/4'
'x,-y,-z'
'-x,y,z'
'-y+1/4,-x+1/4,-z+3/4'
'y+1/4,x+1/4,z+3/4'
'-x+1/2,y,-z+1/2'
'x+1/2,-y,z+1/2'
'y+1/4,x+3/4,-z+1/4'
'-y+1/4,-x+3/4,z+1/4'
'x+1/2,y+1/2,z+1/2'
'-x+1/2,-y+1/2,-z+1/2'
'-y+3/4,x+1/4,z+3/4'
'y+3/4,-x+1/4,-z+3/4'
'-x,-y+1/2,z'
'x,y+1/2,-z'
'y+3/4,-x+3/4,z+1/4'
'-y+3/4,x+3/4,-z+1/4'
'x+1/2,-y+1/2,-z+1/2'
'-x+1/2,y+1/2,z+1/2'
'-y+3/4,-x+3/4,-z+1/4'
'y+3/4,x+3/4,z+1/4'
'-x,y+1/2,-z'
'x,-y+1/2,z'
'y+3/4,x+1/4,-z+3/4'
'-y+3/4,-x+1/4,z+3/4'
loop_
_atom_site_label
_atom_site_type_symbol
_atom_site_fract_x
_atom_site_fract_y
_atom_site_fract_z
Dy1 Dy 0.000 0.000 0.000
P1 P 0.000 0.090 0.252
O1 O 0.000 0.037 0.148
```

Most intense lines, 2θ from 10° to 80°, most intense first:
| 2θ/deg | I/Imax | index |
| --- | --- | --- |
| 14.09 | 100 | 1 0 1 |
| 29.40 | 89 | 2 1 1 |
| 24.02 | 59 | 0 0 4 |
| 36.63 | 48 | 2 2 0 |
| 28.40 | 45 | 2 0 2 |
| 34.12 | 34 | 2 1 3 |
| 44.28 | 32 | 2 2 4 |
| 39.43 | 28 | 3 0 1 |
| 61.01 | 24 | 4 2 2 |
| 42.16 | 23 | 2 1 5 |
| 45.06 | 23 | 2 0 6 |
| 71.85 | 19 | 4 2 6 |

(5)
Theoretical X-ray diffraction stick pattern of TlAg3S2 for Cu Kα, 1.54184 Å, from DFT lattice parameters and positions (GGA-PBE).
Peak positions follow from Bragg's law for the DFT cell and can differ from measured ones.

Atomic structure:
```
data_TlAg3S2
_chemical_formula_sum 'Tl4 Ag12 S8'
_space_group_name_H-M_alt 'P b c n'
_space_group_IT_number 60
_space_group_name_Hall '-P 2n 2ab'
_cell_length_a 8.871
_cell_length_b 8.956
_cell_length_c 6.949
_cell_angle_alpha 90.00
_cell_angle_beta 90.00
_cell_angle_gamma 90.00
loop_
_atom_site_label
_atom_site_type_symbol
_atom_site_fract_x
_atom_site_fract_y
_atom_site_fract_z
Tl1 Tl 0.000 0.100 0.250
Ag1 Ag 0.000 0.339 0.750
Ag2 Ag 0.194 0.403 0.113
S1 S 0.180 0.331 0.488
```

Most intense lines, 2θ from 10° to 80°, most intense first:
| 2θ/deg | I/Imax | index |
| --- | --- | --- |
| 31.16 | 100 | 2 2 1 |
| 32.74 | 40 | 2 0 2 |
| 34.23 | 34 | 1 3 1 |
| 44.01 | 28 | 0 2 3 |
| 31.87 | 25 | 3 1 0 |
| 25.67 | 21 | 0 0 2 |
| 27.57 | 17 | 1 0 2 |
| 40.28 | 15 | 0 4 0 |
| 47.59 | 14 | 4 2 1 |
| 23.64 | 14 | 0 2 1 |
| 59.39 | 14 | 3 3 3 |
| 48.74 | 13 | 4 0 2 |

(6)
Theoretical X-ray diffraction stick pattern of TbCoSi for Cu Kα, 1.54184 Å, from DFT lattice parameters and positions (GGA-PBE).
Peak positions follow from Bragg's law for the DFT cell and can differ from measured ones.

Atomic structure:
```
data_TbCoSi
_chemical_formula_sum 'Tb4 Co4 Si4'
_space_group_name_H-M_alt 'P n m a'
_space_group_IT_number 62
_space_group_name_Hall '-P 2ac 2n'
_cell_length_a 6.976
_cell_length_b 4.216
_cell_length_c 6.828
_cell_angle_alpha 90.00
_cell_angle_beta 90.00
_cell_angle_gamma 90.00
loop_
_atom_site_label
_atom_site_type_symbol
_atom_site_fract_x
_atom_site_fract_y
_atom_site_fract_z
Tb1 Tb 0.021 0.250 0.184
Co1 Co 0.143 0.750 0.432
Si1 Si 0.192 0.250 0.607
```

Most intense lines, 2θ from 10° to 80°, most intense first:
| 2θ/deg | I/Imax | index |
| --- | --- | --- |
| 35.91 | 100 | 2 1 1 |
| 36.22 | 92 | 1 1 2 |
| 24.82 | 51 | 0 1 1 |
| 42.88 | 47 | 0 2 0 |
| 25.54 | 32 | 2 0 0 |
| 41.74 | 31 | 1 0 3 |
| 36.84 | 26 | 2 0 2 |
| 41.00 | 23 | 3 0 1 |
| 72.22 | 22 | 3 1 4 |
| 58.88 | 20 | 4 1 1 |
| 61.40 | 20 | 1 2 3 |
| 45.28 | 19 | 0 1 3 |

(7)
Theoretical X-ray diffraction stick pattern of HoTaRu2 for Cu Kα, 1.54184 Å, from DFT lattice parameters and positions (GGA-PBE).
Peak positions follow from Bragg's law for the DFT cell and can differ from measured ones.

Atomic structure:
```
data_HoTaRu2
_chemical_formula_sum 'Ho4 Ta4 Ru8'
_space_group_name_H-M_alt 'F m -3 m'
_space_group_IT_number 225
_space_group_name_Hall '-F 4 2 3'
_cell_length_a 6.533
_cell_length_b 6.533
_cell_length_c 6.533
_cell_angle_alpha 90.00
_cell_angle_beta 90.00
_cell_angle_gamma 90.00
loop_
_atom_site_label
_atom_site_type_symbol
_atom_site_fract_x
_atom_site_fract_y
_atom_site_fract_z
Ho1 Ho 0.000 0.000 0.000
Ta1 Ta 0.000 0.000 0.500
Ru1 Ru 0.250 0.250 0.250
```

Most intense lines, 2θ from 10° to 80°, most intense first:
| 2θ/deg | I/Imax | index |
| --- | --- | --- |
| 38.99 | 100 | 2 2 0 |
| 70.63 | 35 | 4 2 2 |
| 56.33 | 17 | 4 0 0 |
| 27.30 | 7 | 2 0 0 |
| 63.70 | 3 | 4 2 0 |
| 48.25 | 2 | 2 2 2 |

(8)
Theoretical X-ray diffraction stick pattern of SiO2 for Cu Kα, 1.54184 Å, from DFT lattice parameters and positions (GGA-PBE).
Peak positions follow from Bragg's law for the DFT cell and can differ from measured ones.

Atomic structure:
```
data_SiO2
_chemical_formula_sum 'Si8 O16'
_space_group_name_H-M_alt 'P n n n'
_space_group_IT_number 48
_cell_length_a 4.521
_cell_length_b 8.272
_cell_length_c 9.475
_cell_angle_alpha 90.00
_cell_angle_beta 90.00
_cell_angle_gamma 90.00
loop_
_space_group_symop_operation_xyz
'x,y,z'
'-x,-y,-z'
'-x+1/2,-y+1/2,z'
'x+1/2,y+1/2,-z'
'x,-y+1/2,-z+1/2'
'-x,y+1/2,z+1/2'
'-x+1/2,y,-z+1/2'
'x+1/2,-y,z+1/2'
loop_
_atom_site_label
_atom_site_type_symbol
_atom_site_fract_x
_atom_site_fract_y
_atom_site_fract_z
Si1 Si 0.048 0.084 0.151
O1 O 0.000 0.000 0.000
O2 O 0.250 0.250 0.113
O3 O 0.250 0.534 0.250
O4 O 0.250 0.601 0.750
```

Most intense lines, 2θ from 10° to 80°, most intense first:
| 2θ/deg | I/Imax | index |
| --- | --- | --- |
| 14.21 | 100 | 0 1 1 |
| 24.32 | 60 | 1 1 1 |
| 21.48 | 25 | 0 2 0 |
| 34.97 | 22 | 1 2 2 |
| 18.73 | 16 | 0 0 2 |
| 21.78 | 13 | 1 0 1 |
| 33.86 | 10 | 0 3 1 |
| 36.36 | 8 | 1 1 3 |
| 52.34 | 7 | 1 4 2 |
| 45.77 | 6 | 2 2 0 |
| 44.55 | 6 | 1 1 4 |
| 53.28 | 5 | 2 3 1 |

What is the formula in the sixth record? TbCoSi